This entry pairs a crystal structure of La4AlTc with its simulated X-ray diffraction stick pattern. Radiation: λ = 1.5418 Å (Cu Kα). Structure: the GGA-PBE geometry in Alexandria.

Atomic structure:
```
12
Lattice="4.4903 -6.6934 0.0000 4.4903 6.6934 0.0000 -2.0113 0.0000 6.0350" Properties=species:S:1:pos:R:3 pbc="T T T"
La 1.5714 4.4682 5.7517
La 1.4080 1.0679 3.6936
La 4.3922 4.4682 3.3008
La 2.4137 -1.0679 0.6761
La 4.5555 1.0679 5.3589
La 2.5770 -4.4682 2.7342
La 5.5612 -1.0679 2.3414
La 5.3978 -4.4682 0.2833
Al 3.9874 1.6475 1.5088
Al 2.9818 -1.6475 4.5263
Tc 3.9874 6.6637 1.5088
Tc 2.9818 -6.6637 4.5263
```

Most intense lines, 2θ from 15° to 90°, sorted by position:
d_spacing  I/Imax
3.554  36
3.092  37
2.927  24
2.885  61
2.779  100
2.691  29
2.589  43
2.552  47
2.462  35
2.275  21